Record 1
# VZnBiO5
Calculated X-ray powder pattern, copper Kα. Input: a structure optimized by DFT (GGA+U).
Kinematic intensities with the Lorentz-polarization factor, no thermal factor.

Main lines, by angle (2θ from 5° to 70°):
2θ 14.12, d = 6.272 Å, I = 351
2θ 15.03, d = 5.896 Å, I = 344
2θ 17.85, d = 4.970 Å, I = 399
2θ 19.24, d = 4.613 Å, I = 286
2θ 22.96, d = 3.874 Å, I = 305
2θ 25.02, d = 3.560 Å, I = 707
2θ 29.40, d = 3.038 Å, I = 1000
2θ 33.09, d = 2.707 Å, I = 467
2θ 34.22, d = 2.620 Å, I = 373
2θ 51.56, d = 1.773 Å, I = 301

Crystal structure
```
VZnBiO5
1.0
5.3819 0.0000 0.0000
0.0000 11.7911 0.0000
-3.0757 0.0000 7.4064
V Zn Bi O
4 4 4 20
direct
0.1810 0.1480 0.4679
0.1810 0.3520 0.9679
0.8190 0.6480 0.0321
0.8190 0.8520 0.5321
0.4519 0.5808 0.3268
0.4519 0.9192 0.8268
0.5481 0.0808 0.1732
0.5481 0.4192 0.6732
0.0572 0.5957 0.6768
0.0572 0.9043 0.1768
0.9428 0.0957 0.8232
0.9428 0.4043 0.3232
0.1581 0.6745 0.1422
0.1581 0.8255 0.6422
0.2384 0.0741 0.6681
0.2384 0.4259 0.1681
0.2424 0.5256 0.4865
0.2424 0.9744 0.9865
0.2943 0.0669 0.3263
0.2943 0.4331 0.8263
0.3174 0.2150 0.0115
0.3174 0.2850 0.5115
0.6826 0.7150 0.4885
0.6826 0.7850 0.9885
0.7057 0.5669 0.1737
0.7057 0.9331 0.6737
0.7576 0.0256 0.0135
0.7576 0.4744 0.5135
0.7616 0.5741 0.8319
0.7616 0.9259 0.3319
0.8419 0.1745 0.3578
0.8419 0.3255 0.8578
```

---

Record 2
# VZn2BiO6
Calculated X-ray powder pattern, copper Kα. Input: a structure optimized by DFT (GGA+U).
Kinematic intensities with the Lorentz-polarization factor, no thermal factor.

Main lines, by angle (2θ from 5° to 70°):
2θ 17.13, d = 5.177 Å, I = 871
2θ 19.07, d = 4.655 Å, I = 580
2θ 26.05, d = 3.421 Å, I = 489
2θ 28.13, d = 3.172 Å, I = 897
2θ 28.59, d = 3.122 Å, I = 494
2θ 28.99, d = 3.080 Å, I = 518
2θ 31.72, d = 2.821 Å, I = 1000
2θ 32.55, d = 2.751 Å, I = 827
2θ 34.26, d = 2.617 Å, I = 591
2θ 34.90, d = 2.571 Å, I = 491

Crystal structure
```
VZn2BiO6
1.0
5.7988 0.0000 0.0000
1.1083 6.8475 0.0000
1.3360 0.9251 6.8417
V Zn Bi O
2 4 2 12
direct
0.2263 0.3040 0.1143
0.7737 0.6960 0.8857
0.2736 0.4093 0.5919
0.2814 0.8881 0.6733
0.7186 0.1119 0.3267
0.7264 0.5907 0.4081
0.2178 0.7977 0.2153
0.7822 0.2023 0.7847
0.0117 0.8168 0.8972
0.1346 0.1597 0.6203
0.1377 0.4855 0.2785
0.3375 0.4062 0.8828
0.3591 0.6911 0.4934
0.4451 0.1183 0.1906
0.5549 0.8817 0.8094
0.6409 0.3089 0.5066
0.6625 0.5938 0.1172
0.8623 0.5145 0.7215
0.8654 0.8403 0.3797
0.9883 0.1832 0.1028
```

---

Record 3
# Bi14WO24
Calculated X-ray powder pattern, copper Kα. Input: a structure optimized by DFT (GGA+U).
Kinematic intensities with the Lorentz-polarization factor, no thermal factor.

Main lines, by angle (2θ from 5° to 70°):
2θ 27.22, d = 3.276 Å, I = 1000
2θ 27.31, d = 3.266 Å, I = 334
2θ 31.23, d = 2.864 Å, I = 206
2θ 31.72, d = 2.821 Å, I = 353
2θ 45.02, d = 2.014 Å, I = 190
2θ 45.22, d = 2.005 Å, I = 96
2θ 45.48, d = 1.995 Å, I = 177
2θ 53.18, d = 1.722 Å, I = 102
2θ 53.76, d = 1.705 Å, I = 173
2θ 53.88, d = 1.702 Å, I = 171

Crystal structure
```
Bi14WO24
1.0
8.9192 0.0000 0.0000
0.0037 8.9207 0.0000
4.4178 4.4469 8.5930
Bi W O
14 1 24
direct
0.0000 0.0000 0.0000
0.0258 0.8368 0.6652
0.0792 0.7186 0.3439
0.1198 0.5685 0.9951
0.2153 0.4414 0.6778
0.2730 0.3059 0.3438
0.3416 0.2247 0.9993
0.4237 0.0553 0.6665
0.4962 0.9153 0.3384
0.6126 0.6489 0.6630
0.6892 0.5000 0.3371
0.7770 0.3431 0.9969
0.8308 0.2495 0.6664
0.8982 0.1276 0.3153
0.5334 0.7578 0.0400
0.0207 0.5414 0.8335
0.0500 0.4492 0.5076
0.0534 0.1088 0.5011
0.0994 0.0204 0.1562
0.1592 0.3225 0.1577
0.1763 0.8934 0.7682
0.2259 0.7819 0.5027
0.2560 0.1782 0.8412
0.3167 0.4805 0.8376
0.3819 0.2711 0.5075
0.3992 0.7080 0.9663
0.4242 0.6566 0.2512
0.4373 0.1653 0.2337
0.5579 0.9530 0.4997
0.5601 0.6096 0.5006
0.5820 0.9836 0.9732
0.6720 0.3995 0.7664
0.7238 0.6753 0.9856
0.7329 0.2796 0.4946
0.7974 0.0822 0.1573
0.8584 0.3784 0.1586
0.8839 0.7799 0.5050
0.9366 0.6648 0.2334
0.9573 0.2422 0.8388
```

---

Record 4
# Bi2WO6
Calculated X-ray powder pattern, copper Kα. Input: a structure optimized by DFT (GGA+U).
Kinematic intensities with the Lorentz-polarization factor, no thermal factor.

Main lines, by angle (2θ from 5° to 70°):
2θ 27.68, d = 3.223 Å, I = 1000
2θ 31.34, d = 2.854 Å, I = 166
2θ 32.30, d = 2.772 Å, I = 141
2θ 32.56, d = 2.750 Å, I = 139
2θ 45.62, d = 1.988 Å, I = 128
2θ 45.82, d = 1.980 Å, I = 128
2θ 46.52, d = 1.952 Å, I = 139
2θ 53.57, d = 1.711 Å, I = 167
2θ 54.83, d = 1.674 Å, I = 129
2θ 55.17, d = 1.665 Å, I = 138

Crystal structure
```
Bi2WO6
1.0
5.5001 0.0000 0.0000
0.0000 8.5630 2.7715
0.0000 -8.5630 2.7715
Bi W O
4 2 12
direct
0.0250 0.1745 0.8255
0.4750 0.6745 0.3255
0.5250 0.3255 0.6745
0.9750 0.8255 0.1745
0.0000 0.4427 0.4427
0.5000 0.9427 0.9427
0.0925 0.4925 0.2808
0.2380 0.9732 0.4730
0.2450 0.6412 0.6887
0.2550 0.1412 0.1887
0.2620 0.4732 0.9730
0.4075 0.9925 0.7808
0.5925 0.7808 0.9925
0.7380 0.9730 0.4732
0.7450 0.1887 0.1412
0.7550 0.6887 0.6412
0.7620 0.4730 0.9732
0.9075 0.2808 0.4925
```

---

Record 5
# BiWO4
Calculated X-ray powder pattern, copper Kα. Input: a structure optimized by DFT (GGA+U).
Kinematic intensities with the Lorentz-polarization factor, no thermal factor.

Main lines, by angle (2θ from 5° to 70°):
2θ 28.02, d = 3.184 Å, I = 1000
2θ 31.08, d = 2.877 Å, I = 161
2θ 33.14, d = 2.703 Å, I = 242
2θ 46.07, d = 1.970 Å, I = 297
2θ 47.58, d = 1.911 Å, I = 143
2θ 53.44, d = 1.714 Å, I = 173
2θ 56.13, d = 1.639 Å, I = 300
2θ 57.93, d = 1.592 Å, I = 126
2θ 64.81, d = 1.439 Å, I = 21
2θ 69.56, d = 1.351 Å, I = 43

Crystal structure
```
BiWO4
1.0
-2.7028 2.7028 5.7546
2.7028 -2.7028 5.7546
2.7028 2.7028 -5.7546
Bi W O
2 2 8
direct
0.3750 0.1250 0.2500
0.6250 0.8750 0.7500
0.1250 0.3750 0.7500
0.8750 0.6250 0.2500
0.0334 0.2056 0.3246
0.2088 0.5334 0.3278
0.2944 0.1191 0.8278
0.3809 0.7088 0.1754
0.6191 0.2912 0.8246
0.7056 0.8809 0.1722
0.7912 0.4666 0.6722
0.9666 0.7944 0.6754
```

---

Record 6
# Bi6W4O21
Calculated X-ray powder pattern, copper Kα. Input: a structure optimized by DFT (GGA+U).
Kinematic intensities with the Lorentz-polarization factor, no thermal factor.

Main lines, by angle (2θ from 5° to 70°):
2θ 23.85, d = 3.731 Å, I = 846
2θ 23.98, d = 3.711 Å, I = 315
2θ 25.94, d = 3.435 Å, I = 1000
2θ 29.00, d = 3.079 Å, I = 442
2θ 29.23, d = 3.055 Å, I = 691
2θ 30.37, d = 2.943 Å, I = 611
2θ 30.80, d = 2.903 Å, I = 545
2θ 35.35, d = 2.539 Å, I = 388
2θ 35.72, d = 2.514 Å, I = 259
2θ 47.04, d = 1.932 Å, I = 230

Crystal structure
```
Bi6W4O21
1.0
5.0578 0.0000 0.0000
0.4338 5.0822 0.0000
1.2128 0.7261 18.5659
Bi W O
6 4 21
direct
0.0000 0.0000 0.0000
0.0132 0.0826 0.4019
0.1550 0.1083 0.1794
0.3822 0.5375 0.6773
0.4144 0.5516 0.4848
0.9101 0.0448 0.7705
0.4104 0.5105 0.8656
0.5359 0.5807 0.1033
0.5823 0.6291 0.2803
0.9086 0.0531 0.5849
0.0861 0.6798 0.4216
0.1189 0.1941 0.6625
0.1402 0.3666 0.8205
0.1549 0.8121 0.0971
0.1606 0.2180 0.5048
0.1719 0.7489 0.5764
0.1811 0.6674 0.9380
0.3374 0.3107 0.0796
0.4050 0.9278 0.3150
0.4504 0.4070 0.2116
0.5312 0.8162 0.8246
0.5575 0.8508 0.1751
0.5759 0.4010 0.3603
0.6255 0.3586 0.7659
0.6351 0.2895 0.9157
0.6506 0.7786 0.0216
0.6541 0.3702 0.5960
0.7259 0.9898 0.5028
0.7299 0.8763 0.6617
0.8395 0.3590 0.1079
0.9336 0.6629 0.2664
```